For Li8In3Sn4, a PBE-relaxed structure gives the computed X-ray powder pattern in this record (Cu Kα X-rays).
Kinematic intensities with the Lorentz-polarization factor, no thermal factor.

Most intense lines, 2θ from 15° to 90°, by angle:
26.4 deg, I = 100.0
37.7 deg, I = 95.5
46.6 deg, I = 29.1
54.4 deg, I = 16.5
61.5 deg, I = 38.6
68.1 deg, I = 33.7
80.5 deg, I = 10.7
86.6 deg, I = 20.0

Atomic structure:
Cell lengths 9.542, 9.542, 9.542 Å; angles 60.00, 60.00, 60.00 degrees
Fractional positions:
Li1 0.093 0.636 0.636
Li2 0.133 0.133 0.133
Li3 0.133 0.133 0.601
Li4 0.133 0.601 0.133
Li5 0.364 0.364 0.364
Li6 0.364 0.364 0.907
Li7 0.364 0.907 0.364
Li8 0.399 0.867 0.867
Li9 0.601 0.133 0.133
Li10 0.636 0.093 0.636
Li11 0.636 0.636 0.093
Li12 0.636 0.636 0.636
Li13 0.867 0.399 0.867
Li14 0.867 0.867 0.399
Li15 0.867 0.867 0.867
Li16 0.907 0.364 0.364
In1 0.252 0.252 0.748
In2 0.252 0.748 0.252
In3 0.252 0.748 0.748
In4 0.748 0.252 0.252
In5 0.748 0.252 0.748
In6 0.748 0.748 0.252
Sn1 0.000 0.000 0.000
Sn2 0.000 0.000 0.500
Sn3 0.000 0.500 0.000
Sn4 0.000 0.500 0.500
Sn5 0.500 0.000 0.000
Sn6 0.500 0.000 0.500
Sn7 0.500 0.500 0.000
Sn8 0.500 0.500 0.500